Diffraction record for Be2VO4. The powder XRD pattern is computed, not measured: it uses DFT lattice parameters and positions (GGA+U) and Cu Kα (λ = 1.5418 Å).
Lines closer than 0.1° are merged.

Atomic structure:
Cell lengths 4.670, 4.670, 4.670 Å; angles 119.88, 119.88, 90.20 degrees
Element x y z (fractional)
Be  0.000  0.500  0.500
Be  0.500  0.000  0.500
V  0.000  0.000  0.000
O  0.148  0.645  0.000
O  0.355  0.355  0.504
O  0.645  0.148  0.000
O  0.852  0.852  0.496

Peak list (12 most intense, 15 to 90 degrees two-theta, in order of falling intensity)
2θ/deg, d_spacing, intensity
23.32, 3.815, 100
27.02, 3.300, 65
38.56, 2.335, 55
45.49, 1.994, 31
55.56, 1.654, 23
69.81, 1.347, 18
61.13, 1.516, 18
62.86, 1.478, 16
45.61, 1.989, 15
69.67, 1.350, 12
47.67, 1.908, 11
74.57, 1.273, 9